Entry 1:
The following is a simulated X-ray diffraction stick pattern of KPrSeO. It was derived from a structure optimized by DFT (GGA-PBE), using Cu Kα, 1.54184 Å.
Kinematic intensities with the Lorentz-polarization factor, no thermal factor.

Top 12 peaks for 2θ = 15–90°, in order of rising 2θ:
2θ 26.8, d = 3.328 Å, intensity 82, (0 0 2); 2θ 27.7, d = 3.220 Å, intensity 100, (1 2 -1); 2θ 29.2, d = 3.063 Å, intensity 21, (1 1 -2); 2θ 31.7, d = 2.820 Å, intensity 69, (1 0 2); 2θ 33.4, d = 2.679 Å, intensity 53, (2 2 -1); 2θ 35.4, d = 2.536 Å, intensity 30, (3 0 0); 2θ 36.5, d = 2.465 Å, intensity 22, (1 3 0); 2θ 37.6, d = 2.390 Å, intensity 51, (2 2 1); 2θ 42.5, d = 2.127 Å, intensity 21, (3 1 1); 2θ 46.3, d = 1.962 Å, intensity 28, (1 2 -3); 2θ 47.2, d = 1.926 Å, intensity 27, (0 2 3); 2θ 48.1, d = 1.892 Å, intensity 21, (1 4 0)

Unit cell a=7.8156 b=7.8146 c=6.8206 alpha=90.00 beta=103.06 gamma=90.00
Space group P2_1/c (No. 14)
Asymmetric unit:
K1 0.0928 0.2360 0.0057 [4 per cell]
Pr1 0.4645 0.6261 0.2720 [4 per cell]
Se1 0.2304 0.5831 0.8414 [4 per cell]
O1 0.4039 0.1517 0.8846 [4 per cell]

---

Entry 2:
The following is a simulated X-ray diffraction stick pattern of Ac2In5Ag3. It was derived from a structure optimized by DFT (GGA-PBE), using Cu Kα, 1.54184 Å.
Kinematic intensities with the Lorentz-polarization factor, no thermal factor.

Top 12 peaks for 2θ = 15–90°, in order of rising 2θ:
2θ 29.4, d = 3.042 Å, intensity 100, (3 2 1); 2θ 30.7, d = 2.911 Å, intensity 92, (2 0 2); 2θ 30.9, d = 2.897 Å, intensity 90, (2 4 0); 2θ 38.3, d = 2.348 Å, intensity 97, (0 4 2); 2θ 42.4, d = 2.134 Å, intensity 59, (5 2 1); 2θ 48.9, d = 1.862 Å, intensity 25, (3 2 3); 2θ 49.1, d = 1.855 Å, intensity 23, (3 6 1); 2θ 58.4, d = 1.581 Å, intensity 23, (5 2 3); 2θ 58.5, d = 1.577 Å, intensity 21, (5 6 1); 2θ 64.5, d = 1.444 Å, intensity 21, (2 4 4); 2θ 64.8, d = 1.439 Å, intensity 21, (2 8 2); 2θ 75.3, d = 1.262 Å, intensity 23, (8 4 2)

Unit cell a=11.9754 b=13.2428 c=6.6621 alpha=90.00 beta=90.00 gamma=90.00
Space group Ibam (No. 72)
Asymmetric unit:
Ac1 0.2466 0.1287 0.0000 [8 per cell]
In1 0.0000 0.0000 0.2500 [4 per cell]
In2 0.0000 0.2522 0.2500 [8 per cell]
In3 0.1417 0.3860 0.0000 [8 per cell]
Ag1 0.0000 0.5000 0.2500 [4 per cell]
Ag2 0.1324 0.1264 0.5000 [8 per cell]

---

Entry 3:
The following is a simulated X-ray diffraction stick pattern of Zr3Ni3As4. It was derived from a structure optimized by DFT (GGA-PBE), using Cu Kα, 1.54184 Å.
Kinematic intensities with the Lorentz-polarization factor, no thermal factor.

Top 12 peaks for 2θ = 15–90°, in order of rising 2θ:
2θ 32.6, d = 2.745 Å, intensity 32, (3 1 0); 2θ 38.8, d = 2.320 Å, intensity 100, (3 2 1); 2θ 46.8, d = 1.941 Å, intensity 37, (4 2 0); 2θ 49.2, d = 1.851 Å, intensity 9, (3 3 2); 2θ 51.6, d = 1.772 Å, intensity 15, (4 2 2); 2θ 53.8, d = 1.703 Å, intensity 10, (4 3 1); 2θ 58.2, d = 1.585 Å, intensity 8, (5 2 1); 2θ 66.4, d = 1.408 Å, intensity 11, (6 1 1); 2θ 68.3, d = 1.373 Å, intensity 12, (6 2 0); 2θ 74.1, d = 1.280 Å, intensity 7, (6 3 1); 2θ 75.9, d = 1.253 Å, intensity 8, (4 4 4); 2θ 81.5, d = 1.181 Å, intensity 11, (5 5 2)

Unit cell a=8.6811 b=8.6811 c=8.6811 alpha=90.00 beta=90.00 gamma=90.00
Space group I-43d (No. 220)
Asymmetric unit:
Zr1 0.0000 0.2500 0.8750 [12 per cell]
Ni1 0.0000 0.2500 0.3750 [12 per cell]
As1 0.0816 0.4184 0.5816 [16 per cell]

---

Entry 4:
The following is a simulated X-ray diffraction stick pattern of SmErZn2Sn2. It was derived from a structure optimized by DFT (GGA-PBE), using Cu Kα, 1.54184 Å.
Kinematic intensities with the Lorentz-polarization factor, no thermal factor.

Top 12 peaks for 2θ = 15–90°, in order of rising 2θ:
2θ 22.8, d = 3.906 Å, intensity 8, (1 0 0); 2θ 28.3, d = 3.149 Å, intensity 15, (1 0 3); 2θ 32.1, d = 2.791 Å, intensity 100, (1 0 4); 2θ 40.0, d = 2.255 Å, intensity 60, (1 1 0); 2θ 45.5, d = 1.995 Å, intensity 7, (0 0 8); 2θ 46.1, d = 1.969 Å, intensity 13, (1 0 7); 2θ 52.1, d = 1.754 Å, intensity 26, (2 0 4); 2θ 62.1, d = 1.494 Å, intensity 17, (1 1 8); 2θ 67.7, d = 1.385 Å, intensity 24, (2 1 4); 2θ 72.6, d = 1.302 Å, intensity 10, (3 0 0); 2θ 86.3, d = 1.128 Å, intensity 7, (2 2 0); 2θ 90.0, d = 1.090 Å, intensity 7, (3 0 8)

Unit cell a=4.5107 b=4.5107 c=15.9591 alpha=90.00 beta=90.00 gamma=120.00
Space group P6_3/mmc (No. 194)
Asymmetric unit:
Sm1 0.0000 0.0000 0.0000 [2 per cell]
Er1 0.0000 0.0000 0.2500 [2 per cell]
Zn1 0.3333 0.6667 0.1620 [4 per cell]
Sn1 0.3333 0.6667 0.6167 [4 per cell]